1.
This entry pairs a crystal structure of Ti3VS4 with its theoretical XRD peak list. Radiation: Cu Kα, 1.54184 Å. Structure: a cell relaxed with GGA-PBE.
Kinematic intensities with the Lorentz-polarization factor, no thermal factor.

Largest 6 diffraction maxima, in order of rising 2θ, 2θ from 10° to 90°:
index, two_theta, I/Imax
2 0 0, 31.9, 29
2 0 1, 35.0, 37
1 1 -2, 43.0, 100
3 1 0, 56.9, 21
2 2 2, 73.8, 12
0 2 4, 85.5, 12

Cell and atoms:
a b c (Å): 5.6033 3.2441 6.3647
angles (deg): 90.00 90.01 90.00
Atoms (fractional coordinates):
Ti 0.0000 0.0000 0.0000
Ti 0.0000 0.0000 0.5000
Ti 0.5000 0.5000 0.0000
V 0.5000 0.5000 0.5000
S 0.1696 0.5000 0.2525
S 0.3369 0.0000 0.7459
S 0.6631 0.0000 0.2541
S 0.8304 0.5000 0.7475


2.
This entry pairs a crystal structure of Hf8Ni21 with its theoretical XRD peak list. Radiation: Cu Kα, 1.54184 Å. Structure: a cell relaxed with GGA-PBE.
Kinematic intensities with the Lorentz-polarization factor, no thermal factor.

Largest 6 diffraction maxima, in order of rising 2θ, 2θ from 10° to 90°:
index, two_theta, I/Imax
1 3 -1, 41.4, 87
-1 3 1, 42.4, 82
2 3 3, 43.6, 77
1 0 4, 43.9, 79
2 0 -2, 44.3, 100
3 0 2, 44.5, 75

Cell and atoms:
a b c (Å): 6.4211 7.9972 8.5376
angles (deg): 75.19 68.14 75.47
Atoms (fractional coordinates):
Hf 0.0687 0.0361 0.2457
Hf 0.2521 0.5629 0.9662
Hf 0.2528 0.4381 0.3930
Hf 0.4300 0.0965 0.6855
Hf 0.5700 0.9035 0.3145
Hf 0.7472 0.5619 0.6070
Hf 0.7479 0.4371 0.0338
Hf 0.9313 0.9639 0.7543
Ni 0.0141 0.6181 0.7571
Ni 0.0171 0.2942 0.7236
Ni 0.1809 0.2566 0.9520
Ni 0.1833 0.9009 0.9629
Ni 0.1960 0.7550 0.4578
Ni 0.2138 0.1099 0.4711
Ni 0.3627 0.7885 0.6573
Ni 0.3806 0.4458 0.6505
Ni 0.4011 0.7168 0.1542
Ni 0.4017 0.2417 0.1530
Ni 0.5000 0.0000 0.0000
Ni 0.5983 0.7583 0.8470
Ni 0.5989 0.2832 0.8458
Ni 0.6194 0.5542 0.3495
Ni 0.6373 0.2115 0.3427
Ni 0.7862 0.8901 0.5289
Ni 0.8040 0.2450 0.5422
Ni 0.8167 0.0991 0.0371
Ni 0.8191 0.7434 0.0480
Ni 0.9829 0.7058 0.2764
Ni 0.9859 0.3819 0.2429


3.
This entry pairs a crystal structure of V4Cr3Co with its theoretical XRD peak list. Radiation: Cu Kα, 1.54184 Å. Structure: a cell relaxed with GGA-PBE.
Kinematic intensities with the Lorentz-polarization factor, no thermal factor.

Largest 6 diffraction maxima, in order of rising 2θ, 2θ from 10° to 90°:
index, two_theta, I/Imax
0 2 0, 44.0, 25
1 1 2, 44.1, 100
0 0 4, 44.4, 24
0 2 4, 64.2, 14
2 2 0, 80.9, 21
1 1 6, 81.5, 14

Cell and atoms:
a b c (Å): 2.9083 4.1201 8.1681
angles (deg): 90.00 90.00 90.00
Atoms (fractional coordinates):
V 0.0000 0.0000 0.0000
V 0.0000 0.0000 0.5000
V 0.0000 0.5000 0.2483
V 0.0000 0.5000 0.7517
Cr 0.5000 0.0000 0.2557
Cr 0.5000 0.0000 0.7443
Cr 0.5000 0.5000 0.0000
Co 0.5000 0.5000 0.5000


4.
This entry pairs a crystal structure of U2Si3Ni4Rh with its theoretical XRD peak list. Radiation: Cu Kα, 1.54184 Å. Structure: a cell relaxed with GGA-PBE.
Kinematic intensities with the Lorentz-polarization factor, no thermal factor.

Largest 6 diffraction maxima, in order of rising 2θ, 2θ from 10° to 90°:
index, two_theta, I/Imax
1 0 1, 25.2, 45
1 0 3, 34.9, 55
1 1 2, 37.9, 100
2 0 0, 48.5, 34
1 0 5, 49.5, 30
2 1 3, 61.1, 22

Cell and atoms:
a b c (Å): 3.7550 3.7550 10.5638
angles (deg): 90.00 90.00 90.00
Atoms (fractional coordinates):
U 0.0000 0.5000 0.2474
U 0.5000 0.0000 0.7526
Si 0.0000 0.0000 0.0000
Si 0.0000 0.5000 0.6223
Si 0.5000 0.0000 0.3777
Ni 0.0000 0.0000 0.5000
Ni 0.0000 0.5000 0.8380
Ni 0.5000 0.0000 0.1620
Ni 0.5000 0.5000 0.5000
Rh 0.5000 0.5000 0.0000


5.
This entry pairs a crystal structure of LiAsSe2 with its theoretical XRD peak list. Radiation: Cu Kα, 1.54184 Å. Structure: a cell relaxed with GGA-PBE.
Kinematic intensities with the Lorentz-polarization factor, no thermal factor.

Largest 6 diffraction maxima, in order of rising 2θ, 2θ from 10° to 90°:
index, two_theta, I/Imax
0 1 0, 11.1, 34
1 0 0, 25.8, 26
1 2 -1, 30.8, 100
0 0 2, 33.4, 46
1 2 1, 44.8, 31
1 2 -3, 47.2, 31

Cell and atoms:
a b c (Å): 4.2599 7.9476 6.6221
angles (deg): 90.00 125.80 90.00
Atoms (fractional coordinates):
Li 0.0000 0.1200 0.0000
Li 0.0000 0.8800 0.5000
As 0.0357 0.3704 0.5110
As 0.0357 0.6296 0.0110
Se 0.3824 0.3807 0.9783
Se 0.3824 0.6193 0.4783
Se 0.3890 0.1368 0.5032
Se 0.3890 0.8632 0.0032


6.
This entry pairs a crystal structure of Ce2InCuSe5 with its theoretical XRD peak list. Radiation: Cu Kα, 1.54184 Å. Structure: a cell relaxed with GGA-PBE.
Kinematic intensities with the Lorentz-polarization factor, no thermal factor.

Largest 6 diffraction maxima, in order of rising 2θ, 2θ from 10° to 90°:
index, two_theta, I/Imax
1 1 4, 31.0, 100
3 1 2, 32.7, 24
1 1 5, 34.7, 25
4 1 0, 36.7, 22
2 0 8, 44.4, 28
0 2 0, 44.4, 30

Cell and atoms:
a b c (Å): 12.2477 4.0785 17.3580
angles (deg): 90.00 90.00 90.00
Atoms (fractional coordinates):
Ce 0.0261 0.2500 0.1787
Ce 0.1365 0.7500 0.5965
Ce 0.3635 0.2500 0.0965
Ce 0.4739 0.7500 0.6787
Ce 0.5261 0.2500 0.3213
Ce 0.6365 0.7500 0.9035
Ce 0.8635 0.2500 0.4035
Ce 0.9739 0.7500 0.8213
In 0.1908 0.7500 0.3627
In 0.3092 0.2500 0.8627
In 0.6908 0.7500 0.1373
In 0.8092 0.2500 0.6373
Cu 0.0735 0.7500 0.9974
Cu 0.4265 0.2500 0.4974
Cu 0.5735 0.7500 0.5026
Cu 0.9265 0.2500 0.0026
Se 0.0163 0.2500 0.6957
Se 0.0983 0.2500 0.9200
Se 0.1053 0.2500 0.4659
Se 0.1831 0.7500 0.1131
Se 0.2384 0.7500 0.7694
Se 0.2616 0.2500 0.2694
Se 0.3169 0.2500 0.6131
Se 0.3947 0.7500 0.9659
Se 0.4017 0.7500 0.4200
Se 0.4837 0.7500 0.1957
Se 0.5163 0.2500 0.8043
Se 0.5983 0.2500 0.5800
Se 0.6053 0.2500 0.0341
Se 0.6831 0.7500 0.3869
Se 0.7384 0.7500 0.7306
Se 0.7616 0.2500 0.2306
Se 0.8169 0.2500 0.8869
Se 0.8947 0.7500 0.5341
Se 0.9017 0.7500 0.0800
Se 0.9837 0.7500 0.3043